Structure and theoretical X-ray diffraction stick pattern of Li7Zn3Cu2 (DFT lattice parameters and positions (PBE); Cu Kα (λ = 1.5418 Å)).

Structural model:
```
Li7Zn3Cu2
1.0
4.449 0.000 0.000
0.000 2.704 0.000
-1.168 0.000 14.723
Li Zn Cu
7 3 2
direct
0.000 0.000 0.000 Li
0.135 0.500 0.200 Li
0.260 0.500 0.538 Li
0.381 0.000 0.852 Li
0.619 0.000 0.148 Li
0.740 0.500 0.462 Li
0.865 0.500 0.800 Li
0.197 0.000 0.363 Zn
0.500 0.500 0.000 Zn
0.803 0.000 0.637 Zn
0.332 0.500 0.701 Cu
0.668 0.500 0.299 Cu
```

Most intense lines, 2θ from 5° to 70°, in order of falling intensity:
two_theta	Rel. int.	(hkl)
18.08	100	0 0 3
6.00	44	0 0 1
41.45	39	0 1 4
40.65	29	2 0 -1
43.54	24	1 0 6
28.17	19	1 0 3
39.25	18	1 1 -1
45.52	14	1 1 -4